No. 1
For MgIr2O6, a PBE-relaxed structure gives the computed PXRD pattern in this record (copper Kα).
Intensities are scaled so that the largest is 100.

Structure:
Unit cell a=8.736 b=8.736 c=4.299 alpha=90.00 beta=90.00 gamma=120.00
Fractional positions:
Mg 0.000 0.000 0.000
Mg 0.333 0.667 0.499
Mg 0.667 0.333 0.501
Ir 0.000 0.341 0.000
Ir 0.000 0.675 0.500
Ir 0.325 0.325 0.500
Ir 0.341 0.000 0.000
Ir 0.659 0.659 0.000
Ir 0.675 0.000 0.500
O 0.108 0.561 0.251
O 0.110 0.225 0.243
O 0.116 0.890 0.243
O 0.217 0.441 0.745
O 0.225 0.110 0.757
O 0.225 0.783 0.745
O 0.439 0.547 0.251
O 0.441 0.217 0.255
O 0.453 0.892 0.251
O 0.547 0.439 0.749
O 0.559 0.775 0.745
O 0.561 0.108 0.749
O 0.775 0.559 0.255
O 0.775 0.884 0.243
O 0.783 0.225 0.255
O 0.884 0.775 0.757
O 0.890 0.116 0.757
O 0.892 0.453 0.749

The 6 most intense peaks (10° ≤ 2θ ≤ 90°), by angle:
- 2θ 20.33, rel. 30
- 2θ 29.14, rel. 100
- 2θ 35.60, rel. 34
- 2θ 46.65, rel. 28
- 2θ 56.23, rel. 30
- 2θ 60.03, rel. 26

No. 2
For LiCu6Ge, a PBE-relaxed structure gives the computed PXRD pattern in this record (copper Kα).
Intensities are scaled so that the largest is 100.

Structure:
Unit cell a=3.768 b=3.768 c=13.957 alpha=90.00 beta=90.00 gamma=90.00
Fractional positions:
Li 0.000 0.000 0.000
Li 0.500 0.500 0.500
Cu 0.000 0.000 0.249
Cu 0.000 0.000 0.751
Cu 0.000 0.500 0.127
Cu 0.000 0.500 0.373
Cu 0.000 0.500 0.627
Cu 0.000 0.500 0.873
Cu 0.500 0.000 0.127
Cu 0.500 0.000 0.373
Cu 0.500 0.000 0.627
Cu 0.500 0.000 0.873
Cu 0.500 0.500 0.251
Cu 0.500 0.500 0.749
Ge 0.000 0.000 0.500
Ge 0.500 0.500 0.000

The 6 most intense peaks (10° ≤ 2θ ≤ 90°), by angle:
- 2θ 42.70, rel. 100
- 2θ 48.30, rel. 34
- 2θ 52.45, rel. 13
- 2θ 70.71, rel. 10
- 2θ 74.06, rel. 17
- 2θ 86.25, rel. 23

No. 3
For Na3MgSn, a PBE-relaxed structure gives the computed PXRD pattern in this record (copper Kα).
Intensities are scaled so that the largest is 100.

Structure:
Unit cell a=7.257 b=7.257 c=6.834 alpha=106.84 beta=106.84 gamma=68.78
Fractional positions:
Na 0.071 0.929 0.500
Na 0.453 0.595 0.253
Na 0.595 0.453 0.753
Na 0.599 0.926 0.127
Na 0.926 0.599 0.627
Na 0.929 0.071 0.000
Mg 0.262 0.262 0.376
Mg 0.262 0.262 0.876
Sn 0.544 0.980 0.627
Sn 0.980 0.544 0.127

The 6 most intense peaks (10° ≤ 2θ ≤ 90°), by angle:
- 2θ 15.81, rel. 74
- 2θ 17.16, rel. 100
- 2θ 26.95, rel. 45
- 2θ 31.92, rel. 43
- 2θ 33.55, rel. 39
- 2θ 35.58, rel. 37

No. 4
For AcDy2SnN4, a PBE-relaxed structure gives the computed PXRD pattern in this record (copper Kα).
Intensities are scaled so that the largest is 100.

Structure:
Unit cell a=6.300 b=6.300 c=12.061 alpha=90.00 beta=90.00 gamma=146.11
Fractional positions:
Ac 0.105 0.895 0.750
Ac 0.895 0.105 0.250
Dy 0.371 0.629 0.538
Dy 0.371 0.629 0.962
Dy 0.629 0.371 0.038
Dy 0.629 0.371 0.462
Sn 0.157 0.843 0.250
Sn 0.843 0.157 0.750
N 0.000 0.000 0.000
N 0.000 0.000 0.500
N 0.269 0.731 0.118
N 0.269 0.731 0.382
N 0.433 0.567 0.750
N 0.567 0.433 0.250
N 0.731 0.269 0.618
N 0.731 0.269 0.882

The 6 most intense peaks (10° ≤ 2θ ≤ 90°), by angle:
- 2θ 26.65, rel. 33
- 2θ 29.43, rel. 100
- 2θ 29.64, rel. 86
- 2θ 33.90, rel. 32
- 2θ 36.34, rel. 67
- 2θ 50.66, rel. 29

Repeat the first record exactly.
For MgIr2O6, a PBE-relaxed structure gives the computed PXRD pattern in this record (copper Kα).
Intensities are scaled so that the largest is 100.

Structure:
Unit cell a=8.736 b=8.736 c=4.299 alpha=90.00 beta=90.00 gamma=120.00
Fractional positions:
Mg 0.000 0.000 0.000
Mg 0.333 0.667 0.499
Mg 0.667 0.333 0.501
Ir 0.000 0.341 0.000
Ir 0.000 0.675 0.500
Ir 0.325 0.325 0.500
Ir 0.341 0.000 0.000
Ir 0.659 0.659 0.000
Ir 0.675 0.000 0.500
O 0.108 0.561 0.251
O 0.110 0.225 0.243
O 0.116 0.890 0.243
O 0.217 0.441 0.745
O 0.225 0.110 0.757
O 0.225 0.783 0.745
O 0.439 0.547 0.251
O 0.441 0.217 0.255
O 0.453 0.892 0.251
O 0.547 0.439 0.749
O 0.559 0.775 0.745
O 0.561 0.108 0.749
O 0.775 0.559 0.255
O 0.775 0.884 0.243
O 0.783 0.225 0.255
O 0.884 0.775 0.757
O 0.890 0.116 0.757
O 0.892 0.453 0.749

The 6 most intense peaks (10° ≤ 2θ ≤ 90°), by angle:
- 2θ 20.33, rel. 30
- 2θ 29.14, rel. 100
- 2θ 35.60, rel. 34
- 2θ 46.65, rel. 28
- 2θ 56.23, rel. 30
- 2θ 60.03, rel. 26